Starting from a crystal structure in Alexandria, relaxed with GGA-PBE, the PXRD pattern of Ho3PaRh3 was simulated for Cu Kα.

Peak list (10 most intense, 2θ = 10–90°, sorted by position)
2θ/deg  I (rel.)
30.1  38
30.7  100
33.3  69
34.2  33
34.4  37
37.3  79
37.5  32
37.9  32
40.3  30
44.4  73

Atomic structure:
```
Ho3PaRh3
1.0
11.9426 0.0000 0.0000
0.0000 4.0809 0.0000
0.0000 0.0000 13.3589
Ho Pa Rh
12 4 12
direct
0.0505 0.2500 0.0972
0.1877 0.7500 0.5124
0.2493 0.2500 0.2991
0.2507 0.7500 0.7991
0.3123 0.2500 0.0124
0.4495 0.7500 0.5972
0.5505 0.2500 0.4028
0.6877 0.7500 0.9876
0.7493 0.2500 0.2009
0.7507 0.7500 0.7009
0.8123 0.2500 0.4876
0.9495 0.7500 0.9028
0.0308 0.2500 0.6848
0.4692 0.7500 0.1848
0.5308 0.2500 0.8152
0.9692 0.7500 0.3152
0.0471 0.2500 0.4266
0.1067 0.2500 0.8742
0.2398 0.7500 0.1516
0.2602 0.2500 0.6516
0.3933 0.7500 0.3742
0.4529 0.7500 0.9266
0.5471 0.2500 0.0734
0.6067 0.2500 0.6258
0.7398 0.7500 0.3484
0.7602 0.2500 0.8484
0.8933 0.7500 0.1258
0.9529 0.7500 0.5734
```